The following is a simulated powder XRD pattern of Tb2Ho5Al4. It was derived from a crystal structure in Alexandria, relaxed with PBE, using Cu Ka.

Structure:
```
data_Tb2Ho5Al4
_chemical_formula_sum 'Tb4 Ho10 Al8'
_symmetry_space_group_name_H-M 'I m m m'
_symmetry_Int_Tables_number 71
_symmetry_space_group_name_Hall '-I 2 2'
_cell_length_a 3.5987
_cell_length_b 12.6176
_cell_length_c 14.5370
_cell_angle_alpha 90.00
_cell_angle_beta 90.00
_cell_angle_gamma 90.00
loop_
_atom_site_label
_atom_site_type_symbol
_atom_site_fract_x
_atom_site_fract_y
_atom_site_fract_z
Tb1 Tb 0.0000 0.0000 0.2043
Ho1 Ho 0.0000 0.3153 0.1564
Ho2 Ho 0.0000 0.5000 0.5000
Al1 Al 0.0000 0.0000 0.4091
Al2 Al 0.0000 0.1741 0.0000
```

Peak list (12 most intense, 10 to 80 degrees two-theta, sorted by position)
2θ (°)	intensity	(hkl)
12.18	33.0	0 0 2
22.00	58.2	0 3 1
28.09	70.2	0 3 3
28.33	51.9	0 2 4
29.22	38.1	1 2 1
30.95	100.0	1 0 3
32.75	52.7	1 3 0
35.06	72.0	1 3 2
41.32	29.2	1 3 4
43.01	25.2	0 6 0
52.93	30.6	1 2 7
53.93	31.1	1 6 3